(1)
This entry pairs a crystal structure of DyZrPa with its computed powder X-ray diffraction pattern. Radiation: copper Kα. Structure: a DFT-relaxed cell (PBE, Alexandria).

Structure:
Lattice parameters (Å, degrees): 9.747 9.747 5.079 90.00 90.00 161.07
Positions (direct):
1 Dy 0.050 0.950 0.750
2 Dy 0.950 0.050 0.250
3 Zr 0.217 0.783 0.750
4 Zr 0.783 0.217 0.250
5 Pa 0.370 0.630 0.750
6 Pa 0.630 0.370 0.250

The 10 most intense peaks (2θ from 10° to 80°), by angle:
| d_spacing | two_theta | intensity |
| --- | --- | --- |
| 2.867 | 31.20 | 25 |
| 2.710 | 33.05 | 100 |
| 2.684 | 33.38 | 85 |
| 2.540 | 35.34 | 45 |
| 2.497 | 35.97 | 29 |
| 2.086 | 43.38 | 32 |
| 1.612 | 57.14 | 28 |
| 1.603 | 57.51 | 19 |
| 1.380 | 67.94 | 25 |
| 1.355 | 69.33 | 22 |

=====

(2)
This entry pairs a crystal structure of Dy3Pb4 with its computed powder X-ray diffraction pattern. Radiation: copper Kα. Structure: a DFT-relaxed cell (PBE, Alexandria).

Structure:
Lattice parameters (Å, degrees): 4.449 15.949 6.236 90.00 110.84 90.00
Positions (direct):
1 Dy 0.081 0.000 0.163
2 Dy 0.341 0.153 0.682
3 Dy 0.341 0.848 0.683
4 Dy 0.659 0.348 0.317
5 Dy 0.659 0.653 0.318
6 Dy 0.919 0.500 0.837
7 Pb 0.000 0.250 0.000
8 Pb 0.000 0.750 0.000
9 Pb 0.182 0.500 0.364
10 Pb 0.365 0.359 0.730
11 Pb 0.365 0.641 0.730
12 Pb 0.635 0.141 0.270
13 Pb 0.635 0.859 0.270
14 Pb 0.818 0.000 0.636

The 10 most intense peaks (2θ from 10° to 80°), by angle:
| d_spacing | two_theta | intensity |
| --- | --- | --- |
| 2.926 | 30.55 | 35 |
| 2.877 | 31.08 | 100 |
| 2.747 | 32.59 | 43 |
| 2.658 | 33.72 | 13 |
| 2.564 | 35.00 | 15 |
| 2.359 | 38.15 | 25 |
| 2.353 | 38.26 | 17 |
| 2.224 | 40.56 | 31 |
| 1.964 | 46.23 | 13 |
| 1.400 | 66.80 | 19 |